This entry pairs a crystal structure of Tl2SiH6 with its simulated PXRD pattern. Radiation: Cu Kα. Structure: the PBE geometry in Alexandria.
Lines closer than 0.1° are merged.

Crystal structure
```
data_Tl2SiH6
_cell_length_a 7.807
_cell_length_b 7.807
_cell_length_c 7.807
_cell_angle_alpha 90.00
_cell_angle_beta 90.00
_cell_angle_gamma 90.00
_symmetry_space_group_name_H-M 'F m -3 m'
_symmetry_Int_Tables_number 225
_symmetry_space_group_name_Hall '-F 4 2 3'
loop_
_atom_site_label
_atom_site_fract_x
_atom_site_fract_y
_atom_site_fract_z
Tl1 0.250 0.250 0.250
Si1 0.000 0.000 0.000
H1 0.000 0.000 0.207
```

The 10 most intense peaks (2θ = 10–90°), in order of falling intensity:
d = 2.760 Å, I = 100, (2 2 0)
d = 3.904 Å, I = 88, (2 0 0)
d = 1.746 Å, I = 40, (4 2 0)
d = 1.594 Å, I = 39, (4 2 2)
d = 2.254 Å, I = 30, (2 2 2)
d = 1.301 Å, I = 19, (4 4 2)
d = 1.952 Å, I = 19, (4 0 0)
d = 1.234 Å, I = 17, (6 2 0)
d = 1.380 Å, I = 12, (4 4 0)
d = 1.177 Å, I = 11, (6 2 2)